Record 1
# K2IrCBr5O
Computed PXRD pattern, Cu Kα. Input: a cell relaxed with GGA-PBE.
Intensities are scaled so that the largest is 100.

Crystal structure
Cell lengths 14.455, 10.701, 7.369 Å; angles 90.00, 90.00, 90.00 degrees
Positions (direct):
K 0.146 0.001 0.153
K 0.146 0.499 0.153
K 0.354 0.501 0.653
K 0.354 0.999 0.653
K 0.646 0.001 0.347
K 0.646 0.499 0.347
K 0.854 0.501 0.847
K 0.854 0.999 0.847
Ir 0.121 0.750 0.701
Ir 0.379 0.250 0.201
Ir 0.621 0.750 0.799
Ir 0.879 0.250 0.299
C 0.054 0.250 0.577
C 0.446 0.750 0.077
C 0.554 0.250 0.923
C 0.946 0.750 0.423
Br 0.013 0.750 0.972
Br 0.118 0.515 0.697
Br 0.118 0.985 0.697
Br 0.225 0.750 0.429
Br 0.245 0.250 0.401
Br 0.255 0.750 0.901
Br 0.275 0.250 0.929
Br 0.382 0.015 0.197
Br 0.382 0.485 0.197
Br 0.487 0.250 0.472
Br 0.513 0.750 0.528
Br 0.618 0.515 0.803
Br 0.618 0.985 0.803
Br 0.725 0.750 0.071
Br 0.745 0.250 0.099
Br 0.755 0.750 0.599
Br 0.775 0.250 0.571
Br 0.882 0.015 0.303
Br 0.882 0.485 0.303
Br 0.987 0.250 0.028
O 0.007 0.750 0.526
O 0.493 0.250 0.026
O 0.507 0.750 0.974
O 0.993 0.250 0.474

Most intense lines, 10 to 80 degrees two-theta, by angle:
| 2θ (°) | Rel. int. |
| --- | --- |
| 14.6 | 92 |
| 14.8 | 100 |
| 17.2 | 91 |
| 30.5 | 37 |
| 33.5 | 64 |
| 34.8 | 51 |


Record 2
# Rb2UPd3Se6
Computed PXRD pattern, Cu Kα. Input: a cell relaxed with GGA-PBE.
Intensities are scaled so that the largest is 100.

Crystal structure
Cell lengths 11.595, 10.078, 9.148 Å; angles 74.01, 56.67, 49.32 degrees
Positions (direct):
Rb 0.193 0.807 0.193
Rb 0.250 0.250 0.250
Rb 0.750 0.750 0.750
Rb 0.807 0.193 0.807
U 0.332 0.332 0.668
U 0.668 0.668 0.332
Pd 0.005 0.672 0.995
Pd 0.328 0.995 0.672
Pd 0.333 0.667 0.667
Pd 0.667 0.333 0.333
Pd 0.672 0.005 0.328
Pd 0.995 0.328 0.005
Se 0.090 0.315 0.685
Se 0.099 0.698 0.674
Se 0.302 0.901 0.470
Se 0.315 0.090 0.910
Se 0.326 0.470 0.901
Se 0.470 0.326 0.302
Se 0.530 0.674 0.698
Se 0.674 0.530 0.099
Se 0.685 0.910 0.090
Se 0.698 0.099 0.530
Se 0.901 0.302 0.326
Se 0.910 0.685 0.315

Most intense lines, 10 to 80 degrees two-theta, by angle:
| 2θ (°) | Rel. int. |
| --- | --- |
| 11.6 | 100 |
| 23.5 | 42 |
| 31.3 | 24 |
| 32.3 | 33 |
| 35.6 | 49 |
| 42.9 | 42 |


Record 3
# Cu27Ag13
Computed PXRD pattern, Cu Kα. Input: a cell relaxed with GGA-PBE.
Intensities are scaled so that the largest is 100.

Crystal structure
Cell lengths 6.000, 8.524, 11.668 Å; angles 73.25, 84.25, 73.39 degrees
Positions (direct):
Cu 0.000 0.000 0.000
Cu 0.015 0.730 0.942
Cu 0.062 0.176 0.789
Cu 0.112 0.633 0.630
Cu 0.204 0.797 0.400
Cu 0.231 0.528 0.325
Cu 0.256 0.977 0.167
Cu 0.292 0.698 0.098
Cu 0.317 0.428 0.033
Cu 0.335 0.150 0.953
Cu 0.365 0.884 0.891
Cu 0.425 0.321 0.737
Cu 0.449 0.058 0.667
Cu 0.484 0.498 0.509
Cu 0.518 0.225 0.436
Cu 0.532 0.953 0.352
Cu 0.595 0.405 0.197
Cu 0.646 0.847 0.045
Cu 0.667 0.573 0.992
Cu 0.691 0.297 0.905
Cu 0.707 0.038 0.839
Cu 0.760 0.464 0.683
Cu 0.770 0.205 0.613
Cu 0.804 0.939 0.534
Cu 0.943 0.815 0.216
Cu 0.948 0.553 0.148
Cu 0.966 0.276 0.078
Ag 0.034 0.447 0.858
Ag 0.089 0.912 0.717
Ag 0.145 0.351 0.566
Ag 0.168 0.074 0.484
Ag 0.248 0.255 0.251
Ag 0.394 0.595 0.816
Ag 0.471 0.770 0.580
Ag 0.562 0.690 0.267
Ag 0.620 0.115 0.120
Ag 0.738 0.760 0.764
Ag 0.853 0.381 0.379
Ag 0.855 0.666 0.449
Ag 0.886 0.087 0.304

Most intense lines, 10 to 80 degrees two-theta, by angle:
| 2θ (°) | Rel. int. |
| --- | --- |
| 41.1 | 100 |
| 41.3 | 33 |
| 47.7 | 21 |
| 48.0 | 41 |
| 69.9 | 6 |
| 70.1 | 17 |


Record 4
# CoH
Computed PXRD pattern, Cu Kα. Input: a cell relaxed with GGA-PBE.
Intensities are scaled so that the largest is 100.

Crystal structure
Cell lengths 2.686, 2.686, 4.375 Å; angles 90.00, 90.00, 120.00 degrees
Positions (direct):
Co 0.333 0.667 0.000
Co 0.667 0.333 0.500
H 0.333 0.667 0.375
H 0.667 0.333 0.875

Most intense lines, 10 to 80 degrees two-theta, by angle:
| 2θ (°) | Rel. int. |
| --- | --- |
| 38.7 | 26 |
| 41.3 | 28 |
| 44.1 | 100 |
| 57.9 | 14 |
| 70.1 | 16 |
| 77.2 | 17 |


Record 5
# Na2Sc2Ga2CuPt
Computed PXRD pattern, Cu Kα. Input: a cell relaxed with GGA-PBE.
Intensities are scaled so that the largest is 100.

Crystal structure
Cell lengths 4.595, 4.595, 6.512 Å; angles 90.00, 90.00, 90.00 degrees
Positions (direct):
Na 0.000 0.000 0.000
Na 0.500 0.500 0.500
Sc 0.000 0.500 0.249
Sc 0.500 0.000 0.751
Ga 0.000 0.500 0.746
Ga 0.500 0.000 0.254
Cu 0.000 0.000 0.500
Pt 0.500 0.500 0.000

Most intense lines, 10 to 80 degrees two-theta, by angle:
| 2θ (°) | Rel. int. |
| --- | --- |
| 13.6 | 10 |
| 23.7 | 39 |
| 39.2 | 100 |
| 46.3 | 20 |
| 56.7 | 11 |
| 71.0 | 32 |


Record 6
# ZnCd
Computed PXRD pattern, Cu Kα. Input: a cell relaxed with GGA-PBE.
Intensities are scaled so that the largest is 100.

Crystal structure
Cell lengths 4.592, 8.287, 8.337 Å; angles 90.00, 90.00, 90.00 degrees
Positions (direct):
Zn 0.125 0.017 0.154
Zn 0.125 0.483 0.654
Zn 0.375 0.517 0.154
Zn 0.375 0.983 0.654
Zn 0.625 0.017 0.346
Zn 0.625 0.483 0.846
Zn 0.875 0.517 0.346
Zn 0.875 0.983 0.846
Cd 0.122 0.691 0.903
Cd 0.122 0.809 0.403
Cd 0.378 0.191 0.903
Cd 0.378 0.309 0.403
Cd 0.622 0.691 0.597
Cd 0.622 0.809 0.097
Cd 0.878 0.191 0.597
Cd 0.878 0.309 0.097

Most intense lines, 10 to 80 degrees two-theta, by angle:
| 2θ (°) | Rel. int. |
| --- | --- |
| 30.9 | 100 |
| 36.3 | 79 |
| 39.6 | 46 |
| 40.8 | 27 |
| 42.3 | 33 |
| 43.4 | 23 |


Record 7
# Ba5Gd8Zn4O21
Computed PXRD pattern, Cu Kα. Input: a cell relaxed with GGA-PBE.
Intensities are scaled so that the largest is 100.

Crystal structure
Cell lengths 10.223, 10.223, 10.223 Å; angles 94.53, 94.53, 147.34 degrees
Positions (direct):
Ba 0.000 0.000 0.000
Ba 0.138 0.534 0.673
Ba 0.466 0.138 0.604
Ba 0.534 0.862 0.396
Ba 0.862 0.466 0.327
Gd 0.167 0.247 0.414
Gd 0.247 0.833 0.080
Gd 0.356 0.412 0.768
Gd 0.412 0.644 0.055
Gd 0.588 0.356 0.945
Gd 0.644 0.588 0.232
Gd 0.753 0.167 0.920
Gd 0.833 0.753 0.586
Zn 0.041 0.748 0.789
Zn 0.252 0.041 0.293
Zn 0.748 0.959 0.707
Zn 0.959 0.252 0.211
O 0.014 0.901 0.407
O 0.036 0.374 0.409
O 0.071 0.296 0.869
O 0.099 0.506 0.112
O 0.202 0.071 0.775
O 0.296 0.427 0.225
O 0.374 0.964 0.338
O 0.394 0.986 0.888
O 0.427 0.202 0.131
O 0.494 0.606 0.593
O 0.500 0.500 0.000
O 0.506 0.394 0.407
O 0.573 0.798 0.869
O 0.606 0.014 0.112
O 0.626 0.036 0.662
O 0.704 0.573 0.775
O 0.798 0.929 0.225
O 0.901 0.494 0.888
O 0.929 0.704 0.131
O 0.964 0.626 0.591
O 0.986 0.099 0.593

Most intense lines, 10 to 80 degrees two-theta, by angle:
| 2θ (°) | Rel. int. |
| --- | --- |
| 27.9 | 45 |
| 30.8 | 100 |
| 31.1 | 41 |
| 35.9 | 31 |
| 45.9 | 18 |
| 55.2 | 19 |